[1]
For Rb2ErAgF6, a structure optimized by DFT (PBE) gives the theoretical X-ray diffraction stick pattern in this record (Cu Kα).

Principal peaks in the range 2θ = 5–70°, low angle first:
| 2theta | Rel. int. |
| --- | --- |
| 19.2 | 15 |
| 27.2 | 26 |
| 27.4 | 25 |
| 27.6 | 100 |
| 39.0 | 32 |
| 40.0 | 16 |
| 48.3 | 20 |
| 48.6 | 24 |
| 57.1 | 19 |
| 63.9 | 13 |

Structure:
```
20
Lattice="6.504 0.000 0.000 0.000 6.560 0.000 -6.493 0.000 9.021" Properties=species:S:1:pos:R:3 pbc="T T T"
Rb -0.032 0.213 2.253
Rb -3.278 3.067 6.764
Rb 3.290 3.493 2.258
Rb 0.044 6.347 6.769
Er 3.252 0.000 0.000
Er 0.006 3.280 4.511
Ag -3.246 0.000 4.511
Ag 0.000 3.280 0.000
F -4.969 1.268 8.729
F -1.723 2.012 4.219
F -4.477 4.818 8.683
F -1.231 5.022 4.173
F -2.808 0.138 6.902
F 0.438 3.142 2.391
F -0.427 3.418 6.630
F 2.820 6.422 2.119
F 1.242 1.538 4.849
F 4.489 1.742 0.338
F 1.734 4.548 4.803
F 4.981 5.291 0.292
```

---

[2]
For Er6Fe2Ag, a structure optimized by DFT (PBE) gives the theoretical X-ray diffraction stick pattern in this record (Cu Kα).

Principal peaks in the range 2θ = 5–70°, low angle first:
| 2theta | Rel. int. |
| --- | --- |
| 29.0 | 18 |
| 29.7 | 15 |
| 30.3 | 21 |
| 32.6 | 100 |
| 35.0 | 30 |
| 35.1 | 29 |
| 35.5 | 23 |
| 35.8 | 15 |
| 38.8 | 18 |
| 60.9 | 19 |

Structure:
```
18
Lattice="-4.645 4.746 4.882 4.645 -4.746 4.882 4.645 4.746 -4.882" Properties=species:S:1:pos:R:3 pbc="T T T"
Er 4.645 2.726 -2.721
Er 2.704 1.774 0.000
Er 6.586 1.774 0.000
Er 1.898 4.746 -1.818
Er 2.747 0.000 3.064
Er 0.000 2.020 2.162
Er 4.645 2.726 2.721
Er 1.898 4.746 1.818
Er 2.747 0.000 6.701
Er -1.941 2.973 4.882
Er 1.941 2.973 4.882
Er 0.000 2.020 7.603
Fe 4.645 0.000 1.070
Fe 0.000 3.659 0.000
Fe 0.000 5.833 0.000
Fe 0.000 4.746 3.813
Ag 0.000 0.000 0.000
Ag 0.000 0.000 4.882
```

---

[3]
For Er8FeAg2, a structure optimized by DFT (PBE) gives the theoretical X-ray diffraction stick pattern in this record (Cu Kα).

Principal peaks in the range 2θ = 5–70°, low angle first:
| 2theta | Rel. int. |
| --- | --- |
| 29.6 | 23 |
| 30.2 | 62 |
| 31.8 | 77 |
| 32.6 | 100 |
| 33.2 | 22 |
| 34.6 | 80 |
| 34.9 | 58 |
| 37.0 | 34 |
| 60.7 | 17 |
| 63.6 | 21 |

Structure:
```
11
Lattice="8.526 -2.594 0.000 8.526 2.594 0.000 -2.141 0.000 6.393" Properties=species:S:1:pos:R:3 pbc="T T T"
Er -0.184 0.000 1.887
Er 1.676 0.000 5.110
Er 4.705 0.000 3.437
Er 6.826 0.000 0.497
Er 8.085 0.000 5.897
Er 10.206 0.000 2.957
Er 13.235 0.000 1.283
Er 15.095 0.000 4.506
Fe 7.456 0.000 3.197
Ag 2.675 0.000 1.343
Ag 12.236 0.000 5.050
```

---

[4]
For ErGa2Ag4, a structure optimized by DFT (PBE) gives the theoretical X-ray diffraction stick pattern in this record (Cu Kα).

Principal peaks in the range 2θ = 5–70°, low angle first:
| 2theta | Rel. int. |
| --- | --- |
| 31.8 | 12 |
| 32.8 | 100 |
| 35.6 | 48 |
| 38.4 | 64 |
| 41.7 | 45 |
| 42.7 | 35 |
| 47.0 | 21 |
| 56.8 | 24 |
| 62.2 | 23 |
| 65.3 | 15 |

Structure:
```
14
Lattice="7.969 0.000 0.000 0.000 7.969 0.000 0.000 0.000 4.238" Properties=species:S:1:pos:R:3 pbc="T T T"
Er 0.000 0.000 0.000
Er 3.985 3.985 2.119
Ga 1.605 1.605 2.119
Ga 2.380 5.589 0.000
Ga 5.589 2.380 0.000
Ga 6.365 6.365 2.119
Ag 0.769 5.218 2.119
Ag 1.234 3.216 0.000
Ag 2.751 7.201 2.119
Ag 3.216 1.234 0.000
Ag 4.753 6.735 0.000
Ag 5.218 0.769 2.119
Ag 6.735 4.753 0.000
Ag 7.201 2.751 2.119
```

---

[5]
For ErGa2Ag2, a structure optimized by DFT (PBE) gives the theoretical X-ray diffraction stick pattern in this record (Cu Kα).

Principal peaks in the range 2θ = 5–70°, low angle first:
| 2theta | Rel. int. |
| --- | --- |
| 35.1 | 100 |
| 35.8 | 21 |
| 39.0 | 22 |
| 39.6 | 24 |
| 41.0 | 30 |
| 49.3 | 18 |
| 55.5 | 12 |
| 63.6 | 13 |
| 65.0 | 11 |
| 66.0 | 14 |

Structure:
```
10
Lattice="-1.850 2.202 11.956 1.850 -2.202 11.956 1.850 2.202 -11.956" Properties=species:S:1:pos:R:3 pbc="T T T"
Er 0.000 1.101 1.937
Er 1.850 1.101 10.020
Ga 1.850 1.101 -3.109
Ga 1.850 1.101 -0.614
Ga 0.000 1.101 12.570
Ga 0.000 1.101 15.066
Ag 1.850 -1.101 7.029
Ag 1.850 1.101 4.751
Ag 0.000 1.101 7.206
Ag 0.000 3.304 4.927
```

---

[6]
For LiGdErAg, a structure optimized by DFT (PBE) gives the theoretical X-ray diffraction stick pattern in this record (Cu Kα).

Principal peaks in the range 2θ = 5–70°, low angle first:
| 2theta | Rel. int. |
| --- | --- |
| 21.1 | 15 |
| 24.4 | 26 |
| 34.8 | 100 |
| 41.0 | 8 |
| 42.9 | 8 |
| 50.0 | 18 |
| 54.8 | 3 |
| 56.4 | 11 |
| 62.3 | 36 |
| 66.5 | 2 |

Structure:
```
16
Lattice="7.302 0.000 0.000 0.000 7.302 0.000 0.000 0.000 7.302" Properties=species:S:1:pos:R:3 pbc="T T T"
Li 0.000 0.000 0.000
Li 0.000 3.651 3.651
Li 3.651 0.000 3.651
Li 3.651 3.651 0.000
Gd 1.825 1.825 1.825
Gd 1.825 5.476 5.476
Gd 5.476 1.825 5.476
Gd 5.476 5.476 1.825
Er 1.825 1.825 5.476
Er 1.825 5.476 1.825
Er 5.476 1.825 1.825
Er 5.476 5.476 5.476
Ag 0.000 0.000 3.651
Ag 0.000 3.651 0.000
Ag 3.651 0.000 0.000
Ag 3.651 3.651 3.651
```